[1]
Computed powder diffraction line list of Tb3NdEr3 for Cu Kα (weighted mean of Kα1 and Kα2), from a cell relaxed with PBE.
Lines closer than 0.1° are merged.

The 6 most intense peaks (2θ from 10° to 90°), by angle:
| 2θ (°) | I_rel |
| --- | --- |
| 31.82 | 37 |
| 32.32 | 100 |
| 32.43 | 12 |
| 33.55 | 16 |
| 33.70 | 55 |
| 48.86 | 11 |

Atomic structure:
```
Tb3NdEr3
1.0
7.591 -7.457 0.000
7.591 7.457 0.000
-0.116 0.000 8.257
Tb Nd Er
12 4 12
Direct
0.000 0.000 0.000
0.000 0.504 0.507
0.193 0.761 0.963
0.211 0.970 0.299
0.253 0.474 0.786
0.266 0.266 0.464
0.474 0.253 0.786
0.502 0.735 0.236
0.504 0.000 0.507
0.735 0.502 0.236
0.761 0.193 0.963
0.970 0.211 0.299
0.476 0.715 0.802
0.715 0.476 0.802
0.776 0.776 0.925
0.930 0.930 0.591
0.011 0.242 0.719
0.221 0.221 0.041
0.242 0.011 0.719
0.242 0.721 0.522
0.273 0.515 0.201
0.468 0.991 0.025
0.486 0.486 0.503
0.515 0.273 0.201
0.721 0.242 0.522
0.743 0.977 0.251
0.977 0.743 0.251
0.991 0.468 0.025
```

---

[2]
Computed powder diffraction line list of Tb7NdEr3 for Cu Kα (weighted mean of Kα1 and Kα2), from a cell relaxed with PBE.
Lines closer than 0.1° are merged.

The 6 most intense peaks (2θ from 10° to 90°), by angle:
| 2θ (°) | I_rel |
| --- | --- |
| 31.02 | 100 |
| 31.26 | 32 |
| 36.04 | 67 |
| 51.73 | 24 |
| 52.05 | 24 |
| 61.69 | 28 |

Atomic structure:
```
Tb7NdEr3
1.0
7.069 0.000 0.000
-3.534 6.122 0.000
0.000 0.000 8.584
Tb Nd Er
7 1 3
Direct
0.000 0.000 0.000
0.165 0.331 0.669
0.165 0.835 0.669
0.501 0.002 0.006
0.501 0.499 0.006
0.669 0.835 0.669
0.998 0.499 0.006
0.667 0.333 0.676
0.332 0.166 0.336
0.834 0.166 0.336
0.834 0.668 0.336
```

---

[3]
Computed powder diffraction line list of Tb12Nd2Er5 for Cu Kα (weighted mean of Kα1 and Kα2), from a cell relaxed with PBE.
Lines closer than 0.1° are merged.

The 6 most intense peaks (2θ from 10° to 90°), by angle:
| 2θ (°) | I_rel |
| --- | --- |
| 30.79 | 100 |
| 35.70 | 51 |
| 51.37 | 36 |
| 61.06 | 18 |
| 61.12 | 25 |
| 83.85 | 13 |

Atomic structure:
```
Tb12Nd2Er5
1.0
6.162 0.000 0.000
-3.065 8.896 0.000
-2.051 -0.715 11.032
Tb Nd Er
12 2 5
Direct
0.053 0.368 0.103
0.106 0.739 0.209
0.158 0.104 0.315
0.314 0.208 0.632
0.370 0.580 0.740
0.421 0.947 0.843
0.579 0.053 0.157
0.630 0.420 0.260
0.686 0.792 0.368
0.842 0.896 0.685
0.894 0.261 0.791
0.947 0.632 0.897
0.210 0.474 0.420
0.790 0.526 0.580
0.000 0.000 0.000
0.266 0.844 0.527
0.474 0.315 0.947
0.526 0.685 0.053
0.734 0.156 0.473
```

---

[4]
Computed powder diffraction line list of Tb6Nd3Er for Cu Kα (weighted mean of Kα1 and Kα2), from a cell relaxed with PBE.
Lines closer than 0.1° are merged.

The 6 most intense peaks (2θ from 10° to 90°), by angle:
| 2θ (°) | I_rel |
| --- | --- |
| 28.54 | 74 |
| 29.50 | 19 |
| 31.56 | 100 |
| 32.45 | 20 |
| 33.83 | 46 |
| 34.08 | 25 |

Atomic structure:
```
Tb6Nd3Er
1.0
5.475 -9.495 0.000
5.475 9.495 0.000
0.000 0.000 6.389
Tb Nd Er
12 6 2
Direct
0.038 0.962 0.500
0.053 0.472 0.999
0.272 0.728 0.280
0.287 0.377 0.182
0.377 0.287 0.682
0.472 0.053 0.499
0.528 0.947 0.999
0.623 0.713 0.182
0.713 0.623 0.682
0.728 0.272 0.780
0.947 0.528 0.499
0.962 0.038 0.000
0.061 0.289 0.594
0.289 0.061 0.094
0.387 0.613 0.703
0.613 0.387 0.203
0.711 0.939 0.594
0.939 0.711 0.094
0.194 0.806 0.757
0.806 0.194 0.257
```

---

[5]
Computed powder diffraction line list of Tb3Nd12Er for Cu Kα (weighted mean of Kα1 and Kα2), from a cell relaxed with PBE.
Lines closer than 0.1° are merged.

The 6 most intense peaks (2θ from 10° to 90°), by angle:
| 2θ (°) | I_rel |
| --- | --- |
| 30.02 | 100 |
| 34.77 | 34 |
| 34.88 | 17 |
| 50.05 | 36 |
| 59.42 | 29 |
| 59.57 | 14 |

Atomic structure:
```
Tb3Nd12Er
1.0
5.161 0.000 0.000
0.000 5.161 0.000
0.000 0.000 20.576
Tb Nd Er
3 12 1
Direct
0.000 0.000 0.000
0.000 0.000 0.251
0.000 0.000 0.749
0.000 0.500 0.125
0.000 0.500 0.376
0.000 0.500 0.624
0.000 0.500 0.875
0.500 0.000 0.125
0.500 0.000 0.376
0.500 0.000 0.624
0.500 0.000 0.875
0.500 0.500 0.000
0.500 0.500 0.251
0.500 0.500 0.500
0.500 0.500 0.749
0.000 0.000 0.500
```

---

[6]
Computed powder diffraction line list of Tb4Nd3Er for Cu Kα (weighted mean of Kα1 and Kα2), from a cell relaxed with PBE.
Lines closer than 0.1° are merged.

The 6 most intense peaks (2θ from 10° to 90°), by angle:
| 2θ (°) | I_rel |
| --- | --- |
| 28.17 | 24 |
| 31.04 | 25 |
| 32.24 | 100 |
| 42.40 | 16 |
| 55.98 | 21 |
| 59.95 | 15 |

Atomic structure:
```
Tb4Nd3Er
1.0
11.525 0.000 0.000
0.000 7.332 0.000
0.000 0.000 6.323
Tb Nd Er
8 6 2
Direct
0.000 0.122 0.000
0.000 0.876 0.501
0.248 0.123 0.334
0.252 0.877 0.834
0.500 0.124 0.001
0.500 0.878 0.500
0.748 0.877 0.834
0.752 0.123 0.334
0.000 0.627 0.000
0.250 0.374 0.834
0.250 0.626 0.334
0.500 0.373 0.500
0.750 0.374 0.834
0.750 0.626 0.334
0.000 0.371 0.499
0.500 0.629 0.999
```

---

[7]
Computed powder diffraction line list of Tb8NdEr4 for Cu Kα (weighted mean of Kα1 and Kα2), from a cell relaxed with PBE.
Lines closer than 0.1° are merged.

The 6 most intense peaks (2θ from 10° to 90°), by angle:
| 2θ (°) | I_rel |
| --- | --- |
| 29.49 | 30 |
| 31.27 | 100 |
| 32.83 | 40 |
| 38.93 | 31 |
| 50.14 | 30 |
| 59.25 | 22 |

Atomic structure:
```
Tb8NdEr4
1.0
3.639 2.101 9.086
-3.639 2.101 9.086
0.000 -4.202 9.086
Tb Nd Er
8 1 4
Direct
0.197 0.751 0.751
0.218 0.218 0.218
0.249 0.249 0.803
0.249 0.803 0.249
0.751 0.197 0.751
0.751 0.751 0.197
0.782 0.782 0.782
0.803 0.249 0.249
0.500 0.500 0.500
0.000 0.000 0.000
0.000 0.500 0.500
0.500 0.000 0.500
0.500 0.500 0.000
```

---

[8]
Computed powder diffraction line list of Tb5Nd3Er2 for Cu Kα (weighted mean of Kα1 and Kα2), from a cell relaxed with PBE.
Lines closer than 0.1° are merged.

The 6 most intense peaks (2θ from 10° to 90°), by angle:
| 2θ (°) | I_rel |
| --- | --- |
| 30.18 | 100 |
| 30.37 | 53 |
| 30.49 | 52 |
| 32.11 | 24 |
| 33.29 | 49 |
| 57.57 | 26 |

Atomic structure:
```
Tb5Nd3Er2
1.0
5.383 -7.961 0.000
5.383 7.961 0.000
-5.345 0.000 7.809
Tb Nd Er
10 6 4
Direct
0.027 0.973 0.750
0.152 0.377 0.775
0.272 0.728 0.250
0.377 0.152 0.275
0.469 0.531 0.250
0.531 0.469 0.750
0.623 0.848 0.725
0.728 0.272 0.750
0.848 0.623 0.225
0.973 0.027 0.250
0.018 0.267 0.045
0.234 0.766 0.750
0.267 0.018 0.545
0.733 0.982 0.455
0.766 0.234 0.250
0.982 0.733 0.955
0.230 0.463 0.454
0.463 0.230 0.954
0.537 0.770 0.046
0.770 0.537 0.546
```

---

[9]
Computed powder diffraction line list of Tb3Nd2Er9 for Cu Kα (weighted mean of Kα1 and Kα2), from a cell relaxed with PBE.
Lines closer than 0.1° are merged.

The 6 most intense peaks (2θ from 10° to 90°), by angle:
| 2θ (°) | I_rel |
| --- | --- |
| 30.65 | 30 |
| 30.92 | 62 |
| 31.11 | 100 |
| 33.05 | 35 |
| 33.76 | 25 |
| 34.92 | 24 |

Atomic structure:
```
Tb3Nd2Er9
1.0
5.368 0.000 0.000
-1.169 8.235 0.000
-1.965 -1.653 10.274
Tb Nd Er
3 2 9
Direct
0.000 0.000 0.000
0.291 0.405 0.667
0.709 0.595 0.333
0.484 0.020 0.759
0.516 0.980 0.241
0.000 0.000 0.500
0.087 0.632 0.137
0.109 0.306 0.299
0.323 0.710 0.489
0.480 0.688 0.934
0.520 0.312 0.066
0.677 0.290 0.511
0.891 0.694 0.701
0.913 0.368 0.863
```

---

[10]
Computed powder diffraction line list of Tb12NdEr7 for Cu Kα (weighted mean of Kα1 and Kα2), from a cell relaxed with PBE.
Lines closer than 0.1° are merged.

The 6 most intense peaks (2θ from 10° to 90°), by angle:
| 2θ (°) | I_rel |
| --- | --- |
| 27.33 | 20 |
| 29.77 | 63 |
| 30.75 | 42 |
| 31.90 | 100 |
| 39.39 | 32 |
| 42.30 | 24 |

Atomic structure:
```
Tb12NdEr7
1.0
6.404 3.698 4.553
-6.404 3.698 4.553
0.000 -7.395 4.553
Tb Nd Er
12 1 7
Direct
0.145 0.474 0.411
0.189 0.321 0.750
0.250 0.811 0.679
0.321 0.750 0.189
0.411 0.145 0.474
0.474 0.411 0.145
0.526 0.589 0.855
0.589 0.855 0.526
0.679 0.250 0.811
0.750 0.189 0.321
0.811 0.679 0.250
0.855 0.526 0.589
0.000 0.000 0.000
0.014 0.349 0.079
0.079 0.014 0.349
0.349 0.079 0.014
0.500 0.500 0.500
0.651 0.921 0.986
0.921 0.986 0.651
0.986 0.651 0.921
```

---

[11]
Computed powder diffraction line list of Tb3Nd2Er for Cu Kα (weighted mean of Kα1 and Kα2), from a cell relaxed with PBE.
Lines closer than 0.1° are merged.

The 6 most intense peaks (2θ from 10° to 90°), by angle:
| 2θ (°) | I_rel |
| --- | --- |
| 30.60 | 11 |
| 31.16 | 21 |
| 31.31 | 100 |
| 31.59 | 30 |
| 44.96 | 15 |
| 56.08 | 19 |

Atomic structure:
```
Tb3Nd2Er
1.0
8.588 -2.832 0.000
8.588 2.832 0.000
-5.706 0.000 8.118
Tb Nd Er
6 4 2
Direct
0.041 0.041 0.201
0.286 0.286 0.501
0.385 0.385 0.925
0.615 0.615 0.075
0.714 0.714 0.499
0.959 0.959 0.799
0.235 0.235 0.091
0.495 0.495 0.345
0.505 0.505 0.655
0.765 0.765 0.909
0.130 0.130 0.632
0.870 0.870 0.368
```

---

[12]
Computed powder diffraction line list of Tb5Nd2Er2 for Cu Kα (weighted mean of Kα1 and Kα2), from a cell relaxed with PBE.
Lines closer than 0.1° are merged.

The 6 most intense peaks (2θ from 10° to 90°), by angle:
| 2θ (°) | I_rel |
| --- | --- |
| 29.73 | 76 |
| 29.84 | 73 |
| 32.82 | 66 |
| 33.40 | 75 |
| 34.82 | 73 |
| 36.06 | 100 |

Atomic structure:
```
Tb5Nd2Er2
1.0
10.877 -1.749 0.000
10.877 1.749 0.000
-1.397 0.000 8.095
Tb Nd Er
5 2 2
Direct
0.000 0.000 0.000
0.095 0.095 0.734
0.310 0.310 0.468
0.690 0.690 0.532
0.905 0.905 0.266
0.180 0.180 0.146
0.820 0.820 0.854
0.453 0.453 0.644
0.547 0.547 0.356
```